# 1
This entry pairs a crystal structure of Li5Mn2P2C2O14 with its computed powder diffraction line list. Radiation: a wavelength of 1.5418 Å. Structure: a crystal structure in the Materials Project, relaxed with PBE+U.
No peak broadening, texture or thermal motion is included.

Unit cell a=9.578 b=6.439 c=10.101 alpha=90.00 beta=117.83 gamma=90.00
Fractional coordinates of all 50 atoms:
Li1 0.092 0.250 0.176
Li2 0.255 0.019 0.510
Li3 0.255 0.481 0.510
Li4 0.262 0.027 0.003
Li5 0.262 0.473 0.003
Li6 0.738 0.527 0.997
Li7 0.738 0.973 0.997
Li8 0.745 0.519 0.490
Li9 0.745 0.981 0.490
Li10 0.908 0.750 0.824
Mn1 0.337 0.750 0.819
Mn2 0.338 0.750 0.310
Mn3 0.662 0.250 0.690
Mn4 0.663 0.250 0.181
P1 0.415 0.250 0.821
P2 0.416 0.250 0.318
P3 0.584 0.750 0.682
P4 0.585 0.750 0.179
C1 0.040 0.750 0.122
C2 0.040 0.750 0.630
C3 0.960 0.250 0.370
C4 0.960 0.250 0.878
O1 0.077 0.750 0.771
O2 0.079 0.750 0.261
O3 0.101 0.250 0.474
O4 0.106 0.250 0.984
O5 0.152 0.750 0.080
O6 0.161 0.750 0.600
O7 0.313 0.064 0.320
O8 0.313 0.436 0.320
O9 0.323 0.059 0.832
O10 0.323 0.441 0.832
O11 0.413 0.750 0.047
O12 0.416 0.750 0.548
O13 0.427 0.250 0.673
O14 0.430 0.250 0.170
O15 0.570 0.750 0.830
O16 0.573 0.750 0.327
O17 0.584 0.250 0.452
O18 0.587 0.250 0.953
O19 0.677 0.559 0.168
O20 0.677 0.941 0.168
O21 0.687 0.564 0.680
O22 0.687 0.936 0.680
O23 0.839 0.250 0.400
O24 0.848 0.250 0.920
O25 0.894 0.750 0.016
O26 0.899 0.750 0.526
O27 0.921 0.250 0.739
O28 0.923 0.250 0.229

Largest 12 diffraction maxima, low angle first, 10° ≤ 2θ ≤ 90°:
Position (°2θ), Rel. int., (hkl)
10.44, 100, 1 0 0
17.30, 28, 1 1 0
19.88, 32, 0 0 2
21.12, 47, 2 0 -2
22.40, 18, 1 1 -2
25.29, 28, 2 1 -2
26.55, 36, 1 0 2
27.71, 94, 0 2 0
31.70, 26, 3 0 0
36.51, 26, 1 0 -4
40.18, 22, 4 1 -2
57.66, 17, 1 0 -6

=====

# 2
This entry pairs a crystal structure of Li2TiFeO4 with its computed powder diffraction line list. Radiation: a wavelength of 1.5418 Å. Structure: a crystal structure in the Materials Project, relaxed with PBE+U.
No peak broadening, texture or thermal motion is included.

Unit cell a=4.245 b=5.338 c=15.096 alpha=80.30 beta=82.28 gamma=66.60
Fractional coordinates of all 32 atoms:
Li1 0.000 0.000 0.000
Li2 0.049 0.754 0.178
Li3 0.247 0.753 0.752
Li4 0.306 0.498 0.928
Li5 0.488 0.524 0.500
Li6 0.550 0.259 0.678
Li7 0.710 0.345 0.239
Li8 0.797 0.007 0.428
Ti1 0.056 0.458 0.374
Ti2 0.312 0.198 0.120
Ti3 0.557 0.958 0.870
Ti4 0.802 0.716 0.621
Fe1 0.180 0.126 0.556
Fe2 0.416 0.890 0.301
Fe3 0.689 0.613 0.051
Fe4 0.935 0.369 0.803
O1 0.030 0.326 0.668
O2 0.128 0.942 0.866
O3 0.211 0.568 0.058
O4 0.239 0.316 0.237
O5 0.281 0.077 0.420
O6 0.375 0.697 0.616
O7 0.455 0.330 0.809
O8 0.487 0.063 0.988
O9 0.541 0.804 0.165
O10 0.626 0.452 0.366
O11 0.702 0.085 0.560
O12 0.733 0.820 0.739
O13 0.786 0.569 0.916
O14 0.883 0.185 0.116
O15 0.958 0.825 0.309
O16 0.979 0.574 0.490

Largest 12 diffraction maxima, low angle first, 10° ≤ 2θ ≤ 90°:
Position (°2θ), Rel. int., (hkl)
23.19, 64, 1 1 0
23.23, 32, 1 0 1
23.99, 100, 0 1 3
36.53, 16, 1 1 -4
36.69, 16, 1 2 3
36.96, 23, 1 -1 2
37.46, 15, 0 1 -5
40.51, 58, 0 2 -2
42.60, 53, 2 1 1
44.41, 48, 0 1 7
60.16, 14, 2 3 -1
61.66, 26, 0 1 -9